For PrTh2As3, the GGA-PBE geometry in OQMD gives the calculated XRD peak list in this record (Cu Kα (weighted mean of Kα1 and Kα2)).

Peak list (6 most intense, 10° ≤ 2θ ≤ 90°, most intense first)
Position (°2θ), I (rel.)
29.59, 100
42.35, 76
25.56, 35
52.51, 27
77.44, 22
50.12, 18

Structural model:
```
PrTh2As3
1.0
4.2672 0.0000 0.0000
0.0000 6.0319 0.0000
0.0000 0.0000 12.8219
Pr Th As
2 4 6
direct
0.0000 0.0000 0.0000 Pr
0.5000 0.5000 0.5000 Pr
0.0000 0.0000 0.3346 Th
0.0000 0.0000 0.6654 Th
0.5000 0.5000 0.1654 Th
0.5000 0.5000 0.8346 Th
0.0000 0.5000 0.0000 As
0.0000 0.5000 0.3302 As
0.0000 0.5000 0.6698 As
0.5000 0.0000 0.1698 As
0.5000 0.0000 0.5000 As
0.5000 0.0000 0.8302 As
```

For Pr3Zn2As, the GGA-PBE geometry in OQMD gives the calculated XRD peak list in this record (Cu Kα (weighted mean of Kα1 and Kα2)).

Peak list (6 most intense, 10° ≤ 2θ ≤ 90°, most intense first)
Position (°2θ), I (rel.)
36.42, 100
32.91, 98
30.60, 84
15.16, 45
50.46, 42
54.40, 37

Structural model:
```
Pr3Zn2As
1.0
6.7467 0.0000 0.0000
-3.3734 5.8428 0.0000
0.0000 0.0000 4.6054
Pr Zn As
3 2 1
direct
0.0000 0.5000 0.0000 Pr
0.5000 0.0000 0.0000 Pr
0.5000 0.5000 0.0000 Pr
0.3333 0.6667 0.5000 Zn
0.6667 0.3333 0.5000 Zn
0.0000 0.0000 0.5000 As
```

For As2Pt9, the GGA-PBE geometry in OQMD gives the calculated XRD peak list in this record (Cu Kα (weighted mean of Kα1 and Kα2)).

Peak list (6 most intense, 10° ≤ 2θ ≤ 90°, most intense first)
Position (°2θ), I (rel.)
38.64, 100
39.52, 84
45.86, 79
65.84, 41
39.28, 34
44.36, 29

Structural model:
```
As2Pt9
1.0
2.8378 0.0000 0.0000
-1.4189 2.4576 0.0000
0.0000 0.0000 36.6997
As Pt
2 9
direct
0.3333 0.6667 0.3025 As
0.6667 0.3333 0.6975 As
0.0000 0.0000 0.0000 Pt
0.0000 0.0000 0.1831 Pt
0.0000 0.0000 0.8169 Pt
0.3333 0.6667 0.1213 Pt
0.3333 0.6667 0.7535 Pt
0.3333 0.6667 0.9397 Pt
0.6667 0.3333 0.0603 Pt
0.6667 0.3333 0.2465 Pt
0.6667 0.3333 0.8787 Pt
```

For AsPt10, the GGA-PBE geometry in OQMD gives the calculated XRD peak list in this record (Cu Kα (weighted mean of Kα1 and Kα2)).

Peak list (6 most intense, 10° ≤ 2θ ≤ 90°, most intense first)
Position (°2θ), I (rel.)
38.66, 100
40.10, 80
40.93, 64
47.38, 42
43.76, 32
36.46, 31

Structural model:
```
AsPt10
1.0
4.3457 -1.9197 0.0000
4.3457 1.9197 0.0000
-0.5967 0.0000 30.8987
As Pt
2 20
direct
0.1557 0.1557 0.3060 As
0.8443 0.8443 0.6940 As
0.0487 0.0487 0.1052 Pt
0.0515 0.0515 0.8043 Pt
0.1496 0.1496 0.0152 Pt
0.1508 0.1508 0.7104 Pt
0.2499 0.2499 0.2250 Pt
0.2505 0.2505 0.9252 Pt
0.3476 0.3476 0.1348 Pt
0.3527 0.3527 0.8347 Pt
0.4497 0.4497 0.0449 Pt
0.4526 0.4526 0.7412 Pt
0.5474 0.5474 0.2588 Pt
0.5503 0.5503 0.9551 Pt
0.6473 0.6473 0.1653 Pt
0.6524 0.6524 0.8652 Pt
0.7495 0.7495 0.0748 Pt
0.7501 0.7501 0.7750 Pt
0.8492 0.8492 0.2896 Pt
0.8504 0.8504 0.9848 Pt
0.9485 0.9485 0.1957 Pt
0.9513 0.9513 0.8948 Pt
```

For RbSbAsPt2, the GGA-PBE geometry in OQMD gives the calculated XRD peak list in this record (Cu Kα (weighted mean of Kα1 and Kα2)).

Peak list (6 most intense, 10° ≤ 2θ ≤ 90°, most intense first)
Position (°2θ), I (rel.)
13.72, 100
39.93, 44
29.51, 33
28.89, 24
32.48, 21
46.16, 21

Structural model:
```
RbSbAsPt2
1.0
5.8985 0.0000 0.0000
0.0000 7.0389 0.0000
-2.4564 0.0000 6.4549
Rb Sb As Pt
2 2 2 4
direct
0.0000 0.0000 0.0000 Rb
0.5000 0.5000 0.0000 Rb
0.3716 0.0000 0.6693 Sb
0.8716 0.5000 0.6693 Sb
0.1097 0.5000 0.3305 As
0.6097 0.0000 0.3305 As
0.4786 0.2962 0.4740 Pt
0.4786 0.7038 0.4740 Pt
0.9786 0.2038 0.4740 Pt
0.9786 0.7962 0.4740 Pt
```

For AsPtS6, the GGA-PBE geometry in OQMD gives the calculated XRD peak list in this record (Cu Kα (weighted mean of Kα1 and Kα2)).

Peak list (6 most intense, 10° ≤ 2θ ≤ 90°, most intense first)
Position (°2θ), I (rel.)
17.74, 100
34.35, 89
29.17, 63
20.52, 61
41.73, 56
45.68, 54

Structural model:
```
AsPtS6
1.0
0.0000 4.3289 4.3289
4.3289 0.0000 4.3289
4.3289 4.3289 0.0000
As Pt S
1 1 6
direct
0.0000 0.0000 0.0000 As
0.2500 0.2500 0.2500 Pt
0.5245 0.5245 0.9755 S
0.5245 0.9755 0.5245 S
0.5245 0.9755 0.9755 S
0.9755 0.5245 0.5245 S
0.9755 0.5245 0.9755 S
0.9755 0.9755 0.5245 S
```

For Zr3Sb2As2Pt4, the GGA-PBE geometry in OQMD gives the calculated XRD peak list in this record (Cu Kα (weighted mean of Kα1 and Kα2)).

Peak list (6 most intense, 10° ≤ 2θ ≤ 90°, most intense first)
Position (°2θ), I (rel.)
24.64, 100
41.16, 88
39.99, 49
47.53, 34
73.43, 30
57.84, 16

Structural model:
```
Zr3Sb2As2Pt4
1.0
-3.1886 3.1886 6.0416
3.1886 -3.1886 6.0416
3.1886 3.1886 -6.0416
Zr Sb As Pt
3 2 2 4
direct
0.0000 0.0000 0.0000 Zr
0.2500 0.7500 0.5000 Zr
0.7500 0.2500 0.5000 Zr
0.2674 0.2674 0.0000 Sb
0.7326 0.7326 0.0000 Sb
0.0000 0.5000 0.5000 As
0.5000 0.0000 0.5000 As
0.1119 0.1119 0.4774 Pt
0.3655 0.8881 0.0000 Pt
0.6345 0.6345 0.5226 Pt
0.8881 0.3655 0.0000 Pt
```

For Si3As2Pt2, the GGA-PBE geometry in OQMD gives the calculated XRD peak list in this record (Cu Kα (weighted mean of Kα1 and Kα2)).

Peak list (6 most intense, 10° ≤ 2θ ≤ 90°, most intense first)
Position (°2θ), I (rel.)
28.37, 100
42.82, 78
25.40, 46
44.31, 37
21.63, 36
10.77, 27

Structural model:
```
Si3As2Pt2
1.0
2.1117 1.2192 8.2180
-2.1117 1.2192 8.2180
0.0000 -2.4384 8.2180
Si As Pt
3 2 2
direct
0.0000 0.0000 0.0000 Si
0.2354 0.2354 0.2354 Si
0.5299 0.5299 0.5299 Si
0.1302 0.1302 0.1302 As
0.7086 0.7086 0.7086 As
0.4313 0.4313 0.4313 Pt
0.9042 0.9042 0.9042 Pt
```